Record 1
The following is a theoretical X-ray diffraction stick pattern of BaSmEuFeO6. It was derived from a crystal structure in the Materials Project, relaxed with GGA+U, using λ = 1.5418 Å (Cu Kα).

Cell and atoms:
a b c (Å): 8.3730 8.3730 8.3730
angles (deg): 90.00 90.00 90.00
Space group F-43m (No. 216)
One atom of each set of equivalent atoms:
Ba: 0.0000 0.0000 0.0000 x4
Sm: 0.2500 0.2500 0.2500 x4
Eu: 0.0000 0.0000 0.5000 x4
Fe: 0.2500 0.2500 0.7500 x4
O: 0.0181 0.2500 0.7500 x24

The 10 most intense peaks (2θ from 15° to 90°), sorted by position:
| Position (°2θ) | intensity |
| --- | --- |
| 18.4 | 6 |
| 30.2 | 100 |
| 35.6 | 6 |
| 37.2 | 5 |
| 43.2 | 30 |
| 53.6 | 40 |
| 62.8 | 18 |
| 71.2 | 18 |
| 79.3 | 6 |
| 87.1 | 21 |



Record 2
The following is a theoretical X-ray diffraction stick pattern of BaEuInWO6. It was derived from a crystal structure in the Materials Project, relaxed with GGA+U, using λ = 1.5418 Å (Cu Kα).

Cell and atoms:
a b c (Å): 8.3192 8.3192 8.3192
angles (deg): 90.00 90.00 90.00
Space group F-43m (No. 216)
One atom of each set of equivalent atoms:
Ba: 0.0000 0.0000 0.0000 x4
Eu: 0.0000 0.0000 0.5000 x4
In: 0.2500 0.2500 0.7500 x4
W: 0.2500 0.2500 0.2500 x4
O: 0.0088 0.2500 0.2500 x24

The 10 most intense peaks (2θ from 15° to 90°), sorted by position:
| Position (°2θ) | intensity |
| --- | --- |
| 18.5 | 4 |
| 21.4 | 1 |
| 30.4 | 100 |
| 35.8 | 2 |
| 43.5 | 28 |
| 54.0 | 40 |
| 63.2 | 18 |
| 71.8 | 18 |
| 79.9 | 6 |
| 87.8 | 22 |



Record 3
The following is a theoretical X-ray diffraction stick pattern of BaNaEuMnO6. It was derived from a crystal structure in the Materials Project, relaxed with GGA+U, using λ = 1.5418 Å (Cu Kα).

Cell and atoms:
a b c (Å): 8.1392 8.1392 8.1392
angles (deg): 90.00 90.00 90.00
Space group F-43m (No. 216)
One atom of each set of equivalent atoms:
Ba: 0.0000 0.0000 0.0000 x4
Na: 0.2500 0.2500 0.7500 x4
Eu: 0.0000 0.0000 0.5000 x4
Mn: 0.2500 0.2500 0.2500 x4
O: 0.0190 0.2500 0.2500 x24

The 10 most intense peaks (2θ from 15° to 90°), sorted by position:
| Position (°2θ) | intensity |
| --- | --- |
| 21.8 | 29 |
| 31.1 | 100 |
| 38.3 | 30 |
| 44.5 | 34 |
| 50.1 | 15 |
| 55.3 | 39 |
| 64.8 | 20 |
| 69.3 | 8 |
| 73.6 | 17 |
| 77.8 | 10 |



Record 4
The following is a theoretical X-ray diffraction stick pattern of BaEu2Mn2O7. It was derived from a crystal structure in the Materials Project, relaxed with GGA+U, using λ = 1.5418 Å (Cu Kα).

Cell and atoms:
a b c (Å): 20.0800 5.6573 5.5983
angles (deg): 90.00 90.00 90.00
Space group Cmcm (No. 63)
One atom of each set of equivalent atoms:
Ba: 0.0000 0.2476 0.2500 x4
Eu: 0.1827 0.2348 0.2500 x8
Mn: 0.0997 0.2514 0.7500 x8
O: 0.0000 0.2676 0.7500 x4
O: 0.1010 0.0000 0.0000 x8
O: 0.1109 0.5000 0.0000 x8
O: 0.2014 0.2151 0.7500 x8

The 10 most intense peaks (2θ from 15° to 90°), sorted by position:
| Position (°2θ) | intensity |
| --- | --- |
| 22.8 | 15 |
| 26.6 | 10 |
| 31.6 | 100 |
| 32.0 | 25 |
| 41.8 | 10 |
| 42.1 | 11 |
| 45.6 | 27 |
| 56.4 | 19 |
| 56.8 | 14 |
| 66.1 | 13 |



Record 5
The following is a theoretical X-ray diffraction stick pattern of BaEu2Mn2O7. It was derived from a crystal structure in the Materials Project, relaxed with GGA+U, using λ = 1.5418 Å (Cu Kα).

Cell and atoms:
a b c (Å): 3.9680 3.9680 20.2360
angles (deg): 90.00 90.00 90.00
Space group I4/mmm (No. 139)
One atom of each set of equivalent atoms:
Ba: 0.0000 0.0000 0.0000 x2
Eu: 0.0000 0.0000 0.1834 x4
Mn: 0.0000 0.0000 0.3992 x4
O: 0.0000 0.0000 0.2983 x4
O: 0.0000 0.0000 0.5000 x2
O: 0.0000 0.5000 0.1064 x8

The 10 most intense peaks (2θ from 15° to 90°), sorted by position:
| Position (°2θ) | intensity |
| --- | --- |
| 22.8 | 19 |
| 26.4 | 13 |
| 31.6 | 100 |
| 31.9 | 66 |
| 41.9 | 28 |
| 44.8 | 11 |
| 45.7 | 36 |
| 56.0 | 14 |
| 56.6 | 38 |
| 65.9 | 13 |



Record 6
The following is a theoretical X-ray diffraction stick pattern of BaNaEuWO6. It was derived from a crystal structure in the Materials Project, relaxed with GGA+U, using λ = 1.5418 Å (Cu Kα).

Cell and atoms:
a b c (Å): 8.5220 8.5220 8.5220
angles (deg): 90.00 90.00 90.00
Space group F-43m (No. 216)
One atom of each set of equivalent atoms:
Ba: 0.0000 0.0000 0.0000 x4
Na: 0.0000 0.0000 0.5000 x4
Eu: 0.2500 0.2500 0.7500 x4
W: 0.2500 0.2500 0.2500 x4
O: 0.0202 0.2500 0.2500 x24

The 10 most intense peaks (2θ from 15° to 90°), sorted by position:
| Position (°2θ) | intensity |
| --- | --- |
| 18.0 | 14 |
| 20.8 | 26 |
| 29.6 | 100 |
| 34.9 | 7 |
| 42.4 | 30 |
| 47.7 | 11 |
| 52.6 | 41 |
| 61.6 | 19 |
| 69.8 | 18 |
| 85.2 | 22 |